The following is a computed X-ray diffraction stick pattern of Er2ReMo3. It was derived from a GGA-PBE-relaxed structure, using λ = 1.5418 Å (Cu Kα).
Kinematic intensities with the Lorentz-polarization factor, no thermal factor.

Structure:
Lattice parameters (Å, degrees): 9.4625 5.4710 5.4626 90.00 125.05 90.00
Space group C2/m (No. 12)
Symmetry-distinct sites (fractional):
Er 0.1257 0.0000 0.3742
Re 0.0000 0.5000 0.0000
Mo 0.0000 0.5000 0.5000
Mo 0.2500 0.2500 0.0000

Peak list (12 most intense, 5 to 70 degrees two-theta, in order of rising 2θ)
- d = 2.737 Å, intensity 70, (1 1 1)
- d = 2.334 Å, intensity 100, (3 1 0)
- d = 2.330 Å, intensity 92, (2 2 -1)
- d = 2.235 Å, intensity 42, (2 2 0)
- d = 2.228 Å, intensity 14, (4 0 -2)
- d = 1.581 Å, intensity 14, (2 0 2)
- d = 1.576 Å, intensity 11, (6 0 -2)
- d = 1.491 Å, intensity 18, (0 0 3)
- d = 1.489 Å, intensity 38, (3 3 0)
- d = 1.370 Å, intensity 17, (2 2 2)
- d = 1.367 Å, intensity 25, (0 4 0)
- d = 1.366 Å, intensity 8, (4 0 -4)

=====

The following is a computed X-ray diffraction stick pattern of Er2Si4Mo3. It was derived from a GGA-PBE-relaxed structure, using λ = 1.5418 Å (Cu Kα).
Kinematic intensities with the Lorentz-polarization factor, no thermal factor.

Structure:
Lattice parameters (Å, degrees): 6.8375 6.8987 6.7217 90.00 108.90 90.00
Space group P2_1/c (No. 14)
Symmetry-distinct sites (fractional):
Er 0.1906 0.1701 0.0615
Si 0.0893 0.5439 0.8667
Si 0.4962 0.6315 0.6285
Mo 0.2485 0.6628 0.2487
Mo 0.5000 0.0000 0.5000

Peak list (12 most intense, 5 to 70 degrees two-theta, in order of rising 2θ)
- d = 3.234 Å, intensity 23, (2 0 0)
- d = 3.032 Å, intensity 28, (0 2 1)
- d = 2.984 Å, intensity 31, (1 1 -2)
- d = 2.926 Å, intensity 37, (1 2 -1)
- d = 2.596 Å, intensity 38, (1 2 1)
- d = 2.561 Å, intensity 40, (2 1 -2)
- d = 2.405 Å, intensity 100, (2 2 -1)
- d = 2.388 Å, intensity 100, (1 1 2)
- d = 2.359 Å, intensity 33, (2 2 0)
- d = 2.163 Å, intensity 50, (0 3 1)
- d = 2.156 Å, intensity 25, (3 0 0)
- d = 2.132 Å, intensity 66, (3 0 -2)

=====

The following is a computed X-ray diffraction stick pattern of TbErMo. It was derived from a GGA-PBE-relaxed structure, using λ = 1.5418 Å (Cu Kα).
Kinematic intensities with the Lorentz-polarization factor, no thermal factor.

Structure:
Lattice parameters (Å, degrees): 5.5741 7.3207 15.7352 90.00 90.00 90.00
Space group Fmmm (No. 69)
Symmetry-distinct sites (fractional):
Tb 0.2500 0.2500 0.2500
Er 0.0000 0.0000 0.0934
Mo 0.0000 0.1575 0.5000

Peak list (12 most intense, 5 to 70 degrees two-theta, in order of rising 2θ)
- d = 4.269 Å, intensity 38, (1 1 1)
- d = 3.934 Å, intensity 23, (0 0 4)
- d = 3.387 Å, intensity 23, (1 1 3)
- d = 3.319 Å, intensity 49, (0 2 2)
- d = 2.680 Å, intensity 82, (0 2 4)
- d = 2.626 Å, intensity 100, (2 0 2)
- d = 2.567 Å, intensity 70, (1 1 5)
- d = 2.215 Å, intensity 94, (2 2 0)
- d = 1.693 Å, intensity 53, (2 2 6)
- d = 1.501 Å, intensity 28, (0 4 6)
- d = 1.472 Å, intensity 18, (3 3 1)
- d = 1.426 Å, intensity 28, (2 4 4)

=====

The following is a computed X-ray diffraction stick pattern of TbErMo4. It was derived from a GGA-PBE-relaxed structure, using λ = 1.5418 Å (Cu Kα).
Kinematic intensities with the Lorentz-polarization factor, no thermal factor.

Structure:
Lattice parameters (Å, degrees): 7.7988 7.7988 7.7988 90.00 90.00 90.00
Space group F-43m (No. 216)
Symmetry-distinct sites (fractional):
Tb 0.0000 0.0000 0.0000
Er 0.2500 0.2500 0.7500
Mo 0.1251 0.1251 0.3749

Peak list (7 most intense, 5 to 70 degrees two-theta, in order of rising 2θ)
- d = 4.503 Å, intensity 1, (1 1 1)
- d = 2.757 Å, intensity 45, (2 2 0)
- d = 2.351 Å, intensity 100, (3 1 1)
- d = 2.251 Å, intensity 25, (2 2 2)
- d = 1.592 Å, intensity 17, (4 2 2)
- d = 1.501 Å, intensity 32, (5 1 1)
- d = 1.379 Å, intensity 26, (4 4 0)

=====

The following is a computed X-ray diffraction stick pattern of Er3N. It was derived from a GGA-PBE-relaxed structure, using λ = 1.5418 Å (Cu Kα).
Kinematic intensities with the Lorentz-polarization factor, no thermal factor.

Structure:
Lattice parameters (Å, degrees): 3.5104 3.5104 8.8574 90.00 90.00 90.00
Space group P-4m2 (No. 115)
Symmetry-distinct sites (fractional):
Er 0.0000 0.0000 0.0000
Er 0.0000 0.5000 0.6492
N 0.5000 0.5000 0.5000

Peak list (12 most intense, 5 to 70 degrees two-theta, in order of rising 2θ)
- d = 3.263 Å, intensity 100, (1 0 1)
- d = 2.952 Å, intensity 40, (0 0 3)
- d = 2.751 Å, intensity 75, (1 0 2)
- d = 2.390 Å, intensity 50, (1 1 1)
- d = 2.260 Å, intensity 15, (1 0 3)
- d = 2.165 Å, intensity 24, (1 1 2)
- d = 1.755 Å, intensity 21, (2 0 0)
- d = 1.652 Å, intensity 27, (1 1 4)
- d = 1.582 Å, intensity 16, (1 0 5)
- d = 1.546 Å, intensity 22, (2 1 1)
- d = 1.509 Å, intensity 22, (2 0 3)
- d = 1.480 Å, intensity 23, (2 1 2)

=====

The following is a computed X-ray diffraction stick pattern of Er4N3. It was derived from a GGA-PBE-relaxed structure, using λ = 1.5418 Å (Cu Kα).
Kinematic intensities with the Lorentz-polarization factor, no thermal factor.

Structure:
Lattice parameters (Å, degrees): 4.8470 4.8470 4.8470 90.00 90.00 90.00
Space group Pm-3m (No. 221)
Symmetry-distinct sites (fractional):
Er 0.0000 0.0000 0.0000
Er 0.0000 0.5000 0.5000
N 0.0000 0.0000 0.5000

Peak list (5 most intense, 5 to 70 degrees two-theta, in order of rising 2θ)
- d = 2.798 Å, intensity 100, (1 1 1)
- d = 2.424 Å, intensity 65, (2 0 0)
- d = 1.714 Å, intensity 45, (2 2 0)
- d = 1.461 Å, intensity 44, (3 1 1)
- d = 1.399 Å, intensity 15, (2 2 2)

=====

The following is a computed X-ray diffraction stick pattern of ErNbN2. It was derived from a GGA-PBE-relaxed structure, using λ = 1.5418 Å (Cu Kα).
Kinematic intensities with the Lorentz-polarization factor, no thermal factor.

Structure:
Lattice parameters (Å, degrees): 3.2443 4.6282 6.5701 90.00 90.00 90.00
Space group Pmmn (No. 59, origin choice 2)
Symmetry-distinct sites (fractional):
Er 0.2500 0.2500 0.1296
Nb 0.2500 0.2500 0.6139
N 0.2500 0.7500 0.1405
N 0.2500 0.7500 0.6207

Peak list (12 most intense, 5 to 70 degrees two-theta, in order of rising 2θ)
- d = 6.570 Å, intensity 11, (0 0 1)
- d = 3.784 Å, intensity 14, (0 1 1)
- d = 2.679 Å, intensity 100, (0 1 2)
- d = 2.657 Å, intensity 99, (1 1 0)
- d = 2.314 Å, intensity 50, (0 2 0)
- d = 2.308 Å, intensity 99, (1 0 2)
- d = 1.643 Å, intensity 16, (0 0 4)
- d = 1.634 Å, intensity 66, (1 2 2)
- d = 1.622 Å, intensity 16, (2 0 0)
- d = 1.397 Å, intensity 42, (0 3 2)
- d = 1.393 Å, intensity 14, (1 3 0)
- d = 1.388 Å, intensity 28, (2 1 2)

=====

The following is a computed X-ray diffraction stick pattern of ErPaNbN3. It was derived from a GGA-PBE-relaxed structure, using λ = 1.5418 Å (Cu Kα).
Kinematic intensities with the Lorentz-polarization factor, no thermal factor.

Structure:
Lattice parameters (Å, degrees): 7.0977 3.2490 8.1751 90.00 94.30 90.00
Space group P2_1/m (No. 11)
Symmetry-distinct sites (fractional):
Er 0.1323 0.2500 0.1460
Pa 0.3533 0.7500 0.8266
Nb 0.3670 0.7500 0.4309
N 0.1170 0.2500 0.8735
N 0.3316 0.2500 0.6028
N 0.3805 0.7500 0.1349

Peak list (12 most intense, 5 to 70 degrees two-theta, in order of rising 2θ)
- d = 8.152 Å, intensity 59, (0 0 1)
- d = 7.078 Å, intensity 27, (1 0 0)
- d = 3.339 Å, intensity 31, (2 0 -1)
- d = 3.161 Å, intensity 37, (2 0 1)
- d = 3.018 Å, intensity 53, (0 1 1)
- d = 2.777 Å, intensity 50, (2 0 -2)
- d = 2.717 Å, intensity 51, (0 0 3)
- d = 2.578 Å, intensity 30, (2 0 2)
- d = 2.541 Å, intensity 80, (0 1 2)
- d = 2.393 Å, intensity 100, (2 1 0)
- d = 1.843 Å, intensity 35, (2 1 -3)
- d = 1.752 Å, intensity 26, (2 1 3)

=====

The following is a computed X-ray diffraction stick pattern of Nd2ErP2N6. It was derived from a GGA-PBE-relaxed structure, using λ = 1.5418 Å (Cu Kα).
Kinematic intensities with the Lorentz-polarization factor, no thermal factor.

Structure:
Lattice parameters (Å, degrees): 5.7146 5.7146 6.0299 90.00 90.00 120.00
Space group P-3 (No. 147)
Symmetry-distinct sites (fractional):
Nd 0.3333 0.6667 0.3460
Er 0.0000 0.0000 0.0000
P 0.3333 0.6667 0.8227
N 0.0864 0.3686 0.7643

Peak list (12 most intense, 5 to 70 degrees two-theta, in order of rising 2θ)
- d = 3.826 Å, intensity 100, (0 1 1)
- d = 2.857 Å, intensity 77, (1 1 0)
- d = 2.575 Å, intensity 66, (1 0 2)
- d = 2.289 Å, intensity 33, (2 0 1)
- d = 2.010 Å, intensity 5, (0 0 3)
- d = 1.913 Å, intensity 28, (0 2 2)
- d = 1.787 Å, intensity 28, (1 2 1)
- d = 1.650 Å, intensity 19, (3 0 0)
- d = 1.644 Å, intensity 20, (2 -1 3)
- d = 1.589 Å, intensity 29, (2 1 2)
- d = 1.442 Å, intensity 10, (0 1 4)
- d = 1.429 Å, intensity 10, (2 2 0)

=====

The following is a computed X-ray diffraction stick pattern of Er4Ni2N. It was derived from a GGA-PBE-relaxed structure, using λ = 1.5418 Å (Cu Kα).
Kinematic intensities with the Lorentz-polarization factor, no thermal factor.

Structure:
Lattice parameters (Å, degrees): 4.6114 4.6114 13.4923 90.00 90.00 90.00
Space group I4/mmm (No. 139)
Symmetry-distinct sites (fractional):
Er 0.0000 0.0000 0.1816
Er 0.0000 0.5000 0.0000
Ni 0.0000 0.0000 0.3760
N 0.0000 0.0000 0.0000

Peak list (12 most intense, 5 to 70 degrees two-theta, in order of rising 2θ)
- d = 6.746 Å, intensity 11, (0 0 2)
- d = 3.220 Å, intensity 20, (1 0 3)
- d = 2.936 Å, intensity 100, (1 1 2)
- d = 2.344 Å, intensity 47, (1 1 4)
- d = 2.329 Å, intensity 28, (1 0 5)
- d = 2.306 Å, intensity 59, (2 0 0)
- d = 2.249 Å, intensity 16, (0 0 6)
- d = 1.639 Å, intensity 18, (2 1 5)
- d = 1.630 Å, intensity 20, (2 2 0)
- d = 1.610 Å, intensity 23, (2 0 6)
- d = 1.498 Å, intensity 13, (1 1 8)
- d = 1.425 Å, intensity 27, (3 1 2)

=====

The following is a computed X-ray diffraction stick pattern of ErNpP2N6. It was derived from a GGA-PBE-relaxed structure, using λ = 1.5418 Å (Cu Kα).
Kinematic intensities with the Lorentz-polarization factor, no thermal factor.

Structure:
Lattice parameters (Å, degrees): 9.9825 9.5318 5.3525 90.00 105.03 90.00
Space group C2/c (No. 15)
Symmetry-distinct sites (fractional):
Er 0.0000 0.0944 0.2500
Np 0.0000 0.3100 0.7500
P 0.2094 0.4167 0.2533
N 0.1188 0.2795 0.1258
N 0.1246 0.1065 0.6710
N 0.1536 0.4628 0.5136

Peak list (12 most intense, 5 to 70 degrees two-theta, in order of rising 2θ)
- d = 4.820 Å, intensity 100, (2 0 0)
- d = 4.528 Å, intensity 19, (1 1 -1)
- d = 3.504 Å, intensity 43, (0 2 1)
- d = 3.106 Å, intensity 86, (2 2 -1)
- d = 2.703 Å, intensity 35, (1 3 -1)
- d = 2.623 Å, intensity 50, (2 2 1)
- d = 2.585 Å, intensity 39, (0 0 2)
- d = 2.573 Å, intensity 18, (2 0 -2)
- d = 2.410 Å, intensity 20, (4 0 0)
- d = 2.172 Å, intensity 25, (4 2 -1)
- d = 2.047 Å, intensity 25, (4 0 -2)
- d = 1.870 Å, intensity 25, (1 5 0)

=====

The following is a computed X-ray diffraction stick pattern of ErZr2NpN4. It was derived from a GGA-PBE-relaxed structure, using λ = 1.5418 Å (Cu Kα).
Kinematic intensities with the Lorentz-polarization factor, no thermal factor.

Structure:
Lattice parameters (Å, degrees): 4.7268 4.7268 9.4506 90.00 90.00 90.00
Space group I-4m2 (No. 119)
Symmetry-distinct sites (fractional):
Er 0.0000 0.0000 0.0000
Zr 0.0000 0.0000 0.5000
Zr 0.0000 0.5000 0.2500
Np 0.0000 0.5000 0.7500
N 0.0000 0.0000 0.2533
N 0.0000 0.5000 0.5014

Peak list (12 most intense, 5 to 70 degrees two-theta, in order of rising 2θ)
- d = 4.725 Å, intensity 1, (0 0 2)
- d = 4.227 Å, intensity 25, (1 0 1)
- d = 2.729 Å, intensity 100, (1 1 2)
- d = 2.621 Å, intensity 8, (1 0 3)
- d = 2.363 Å, intensity 73, (2 0 0)
- d = 2.063 Å, intensity 8, (2 1 1)
- d = 1.755 Å, intensity 8, (2 1 3)
- d = 1.671 Å, intensity 49, (2 2 0)
- d = 1.554 Å, intensity 2, (3 0 1)
- d = 1.425 Å, intensity 44, (3 1 2)
- d = 1.409 Å, intensity 4, (3 0 3)
- d = 1.364 Å, intensity 16, (2 2 4)